[1]
Structure and theoretical X-ray powder pattern of CeSn2S4 (a cell relaxed with PBE; Cu Kα X-rays).

Atomic structure:
```
data_CeSn2S4
_symmetry_space_group_name_H-M 'P 41 2 2'
_symmetry_Int_Tables_number 91
_symmetry_space_group_name_Hall 'P 4w 2c'
_cell_length_a 8.3419
_cell_length_b 8.3419
_cell_length_c 11.6609
_cell_angle_alpha 90.00
_cell_angle_beta 90.00
_cell_angle_gamma 90.00
loop_
_atom_site_label
_atom_site_fract_x
_atom_site_fract_y
_atom_site_fract_z
_atom_site_occupancy
Ce1 0.0000 0.2597 0.0000 1
Sn1 0.2427 0.2427 0.3750 1
Sn2 0.2606 0.5000 0.7500 1
S1 0.0311 0.2426 0.7643 1
S2 0.2390 0.4843 0.9993 1
```

Most intense lines, 2θ from 15° to 90°, most intense first:
d = 3.553 Å, 2θ 25.06, intensity 100
d = 2.073 Å, 2θ 43.66, intensity 65
d = 3.523 Å, 2θ 25.28, intensity 53
d = 2.269 Å, 2θ 39.72, intensity 41
d = 2.085 Å, 2θ 43.39, intensity 32
d = 4.147 Å, 2θ 21.43, intensity 26
d = 2.949 Å, 2θ 30.31, intensity 25
d = 1.202 Å, 2θ 79.81, intensity 20
d = 2.246 Å, 2θ 40.15, intensity 19
d = 1.795 Å, 2θ 50.88, intensity 16

[2]
Structure and theoretical X-ray powder pattern of Ce3Tl3SnS8 (a cell relaxed with PBE; Cu Kα X-rays).

Atomic structure:
```
data_Ce3Tl3SnS8
_symmetry_space_group_name_H-M 'R -3 m'
_symmetry_Int_Tables_number 166
_symmetry_space_group_name_Hall '-R 3 2"'
_cell_length_a 8.3191
_cell_length_b 8.3191
_cell_length_c 22.0707
_cell_angle_alpha 90.00
_cell_angle_beta 90.00
_cell_angle_gamma 120.00
loop_
_atom_site_label
_atom_site_fract_x
_atom_site_fract_y
_atom_site_fract_z
_atom_site_occupancy
Ce1 0.0000 0.5000 0.0000 1
Tl1 0.0000 0.5000 0.5000 1
Sn1 0.0000 0.0000 0.0000 1
S1 0.0000 0.0000 0.2659 1
S2 0.0101 0.5050 0.2687 1
```

Most intense lines, 2θ from 15° to 90°, most intense first:
d = 3.016 Å, 2θ 29.62, intensity 100
d = 3.424 Å, 2θ 26.02, intensity 54
d = 2.190 Å, 2θ 41.22, intensity 36
d = 2.080 Å, 2θ 43.51, intensity 36
d = 3.678 Å, 2θ 24.20, intensity 24
d = 1.810 Å, 2θ 50.40, intensity 22
d = 1.712 Å, 2θ 53.52, intensity 19
d = 1.882 Å, 2θ 48.37, intensity 16
d = 1.322 Å, 2θ 71.35, intensity 16
d = 1.378 Å, 2θ 68.05, intensity 14

[3]
Structure and theoretical X-ray powder pattern of Tb5Ce3S8 (a cell relaxed with PBE; Cu Kα X-rays).

Atomic structure:
```
data_Tb5Ce3S8
_symmetry_space_group_name_H-M 'R -3 m'
_symmetry_Int_Tables_number 166
_symmetry_space_group_name_Hall '-R 3 2"'
_cell_length_a 7.9114
_cell_length_b 7.9114
_cell_length_c 19.4784
_cell_angle_alpha 90.00
_cell_angle_beta 90.00
_cell_angle_gamma 120.00
loop_
_atom_site_label
_atom_site_fract_x
_atom_site_fract_y
_atom_site_fract_z
_atom_site_occupancy
Tb1 0.0000 0.0000 0.0000 1
Tb2 0.0000 0.0000 0.5000 1
Tb3 0.0000 0.5000 0.0000 1
Ce1 0.0000 0.5000 0.5000 1
S1 0.0000 0.0000 0.2531 1
S2 0.0038 0.5019 0.2520 1
```

Most intense lines, 2θ from 15° to 90°, most intense first:
d = 2.802 Å, 2θ 31.94, intensity 100
d = 3.232 Å, 2θ 27.60, intensity 58
d = 1.985 Å, 2θ 45.72, intensity 36
d = 1.978 Å, 2θ 45.88, intensity 36
d = 1.688 Å, 2θ 54.34, intensity 29
d = 3.246 Å, 2θ 27.47, intensity 20
d = 1.616 Å, 2θ 56.99, intensity 19
d = 1.255 Å, 2θ 75.82, intensity 16
d = 1.251 Å, 2θ 76.06, intensity 16
d = 1.143 Å, 2θ 84.81, intensity 12

[4]
Structure and theoretical X-ray powder pattern of TbCeTe2S (a cell relaxed with PBE; Cu Kα X-rays).

Atomic structure:
```
data_TbCeTe2S
_symmetry_space_group_name_H-M 'P 4/n m m'
_symmetry_Int_Tables_number 129
_cell_length_a 4.4230
_cell_length_b 4.4230
_cell_length_c 15.4551
_cell_angle_alpha 90.00
_cell_angle_beta 90.00
_cell_angle_gamma 90.00
loop_
_symmetry_equiv_pos_as_xyz
'x,y,z'
'-x,-y,-z'
'-y+1/2,x,z'
'y+1/2,-x,-z'
'-x+1/2,-y+1/2,z'
'x+1/2,y+1/2,-z'
'y,-x+1/2,z'
'-y,x+1/2,-z'
'x+1/2,-y,-z'
'-x+1/2,y,z'
'-y,-x,-z'
'y,x,z'
'-x,y+1/2,-z'
'x,-y+1/2,z'
'y+1/2,x+1/2,-z'
'-y+1/2,-x+1/2,z'
loop_
_atom_site_label
_atom_site_fract_x
_atom_site_fract_y
_atom_site_fract_z
_atom_site_occupancy
Tb1 0.2500 0.2500 0.1048 1
Ce1 0.2500 0.2500 0.6067 1
Te1 0.2500 0.2500 0.2989 1
Te2 0.2500 0.2500 0.8992 1
S1 0.2500 0.7500 0.5000 1
```

Most intense lines, 2θ from 15° to 90°, most intense first:
d = 3.128 Å, 2θ 28.54, intensity 100
d = 2.212 Å, 2θ 40.80, intensity 49
d = 2.431 Å, 2θ 36.98, intensity 49
d = 3.356 Å, 2θ 26.56, intensity 28
d = 3.864 Å, 2θ 23.02, intensity 27
d = 2.910 Å, 2θ 30.73, intensity 22
d = 2.226 Å, 2θ 40.53, intensity 21
d = 1.919 Å, 2θ 47.38, intensity 20
d = 1.988 Å, 2θ 45.63, intensity 18
d = 1.399 Å, 2θ 66.90, intensity 18

[5]
Structure and theoretical X-ray powder pattern of Tb3CeTh4S8 (a cell relaxed with PBE; Cu Kα X-rays).

Atomic structure:
```
data_Tb3CeTh4S8
_symmetry_space_group_name_H-M 'R -3 m'
_symmetry_Int_Tables_number 166
_symmetry_space_group_name_Hall '-R 3 2"'
_cell_length_a 7.8846
_cell_length_b 7.8846
_cell_length_c 20.0959
_cell_angle_alpha 90.00
_cell_angle_beta 90.00
_cell_angle_gamma 120.00
loop_
_atom_site_label
_atom_site_fract_x
_atom_site_fract_y
_atom_site_fract_z
_atom_site_occupancy
Tb1 0.0000 0.5000 0.0000 1
Ce1 0.0000 0.0000 0.0000 1
Th1 0.0000 0.0000 0.5000 1
Th2 0.0000 0.5000 0.5000 1
S1 0.0000 0.0000 0.2546 1
S2 0.0042 0.5021 0.2536 1
```

Most intense lines, 2θ from 15° to 90°, most intense first:
d = 2.824 Å, 2θ 31.69, intensity 100
d = 3.233 Å, 2θ 27.59, intensity 68
d = 2.023 Å, 2θ 44.79, intensity 38
d = 1.971 Å, 2θ 46.05, intensity 35
d = 3.349 Å, 2θ 26.61, intensity 25
d = 1.699 Å, 2θ 53.97, intensity 24
d = 1.616 Å, 2θ 56.97, intensity 19
d = 1.276 Å, 2θ 74.32, intensity 17
d = 1.250 Å, 2θ 76.17, intensity 16
d = 1.148 Å, 2θ 84.39, intensity 13

[6]
Structure and theoretical X-ray powder pattern of Tb2Ce3YS6 (a cell relaxed with PBE; Cu Kα X-rays).

Atomic structure:
```
data_Tb2Ce3YS6
_symmetry_space_group_name_H-M 'C 1 2/m 1'
_symmetry_Int_Tables_number 12
_symmetry_space_group_name_Hall '-C 2y'
_cell_length_a 6.8548
_cell_length_b 11.8825
_cell_length_c 6.9373
_cell_angle_alpha 90.00
_cell_angle_beta 109.27
_cell_angle_gamma 90.00
loop_
_atom_site_label
_atom_site_fract_x
_atom_site_fract_y
_atom_site_fract_z
_atom_site_occupancy
Tb1 0.0000 0.1666 0.0000 1
Ce1 0.0000 0.0000 0.5000 1
Ce2 0.0000 0.3331 0.5000 1
Y1 0.0000 0.5000 0.0000 1
S1 0.2462 0.3336 0.2396 1
S2 0.2473 0.0000 0.2399 1
```

Most intense lines, 2θ from 15° to 90°, most intense first:
d = 2.811 Å, 2θ 31.83, intensity 100
d = 3.237 Å, 2θ 27.55, intensity 53
d = 1.996 Å, 2θ 45.43, intensity 36
d = 1.980 Å, 2θ 45.84, intensity 35
d = 3.274 Å, 2θ 27.24, intensity 19
d = 1.619 Å, 2θ 56.89, intensity 18
d = 1.694 Å, 2θ 54.14, intensity 17
d = 1.262 Å, 2θ 75.33, intensity 16
d = 1.253 Å, 2θ 75.94, intensity 16
d = 1.146 Å, 2θ 84.54, intensity 12

[7]
Structure and theoretical X-ray powder pattern of CeTcS (a cell relaxed with PBE; Cu Kα X-rays).

Atomic structure:
```
data_CeTcS
_symmetry_space_group_name_H-M 'P 4/n m m'
_symmetry_Int_Tables_number 129
_cell_length_a 3.6865
_cell_length_b 3.6865
_cell_length_c 9.2017
_cell_angle_alpha 90.00
_cell_angle_beta 90.00
_cell_angle_gamma 90.00
loop_
_symmetry_equiv_pos_as_xyz
'x,y,z'
'-x,-y,-z'
'-y+1/2,x,z'
'y+1/2,-x,-z'
'-x+1/2,-y+1/2,z'
'x+1/2,y+1/2,-z'
'y,-x+1/2,z'
'-y,x+1/2,-z'
'x+1/2,-y,-z'
'-x+1/2,y,z'
'-y,-x,-z'
'y,x,z'
'-x,y+1/2,-z'
'x,-y+1/2,z'
'y+1/2,x+1/2,-z'
'-y+1/2,-x+1/2,z'
loop_
_atom_site_label
_atom_site_fract_x
_atom_site_fract_y
_atom_site_fract_z
_atom_site_occupancy
Ce1 0.2500 0.2500 0.2157 1
Tc1 0.2500 0.7500 0.5000 1
S1 0.2500 0.2500 0.8808 1
```

Most intense lines, 2θ from 15° to 90°, most intense first:
d = 2.268 Å, 2θ 39.74, intensity 100
d = 3.422 Å, 2θ 26.04, intensity 77
d = 2.508 Å, 2θ 35.80, intensity 63
d = 3.067 Å, 2θ 29.11, intensity 49
d = 2.358 Å, 2θ 38.17, intensity 41
d = 1.843 Å, 2θ 49.45, intensity 39
d = 1.580 Å, 2θ 58.41, intensity 26
d = 1.130 Å, 2θ 86.03, intensity 21
d = 1.503 Å, 2θ 61.70, intensity 21
d = 1.623 Å, 2θ 56.73, intensity 19

[8]
Structure and theoretical X-ray powder pattern of Ce2TmTe2S2 (a cell relaxed with PBE; Cu Kα X-rays).

Atomic structure:
```
data_Ce2TmTe2S2
_symmetry_space_group_name_H-M 'I 4/m m m'
_symmetry_Int_Tables_number 139
_symmetry_space_group_name_Hall '-I 4 2'
_cell_length_a 5.0325
_cell_length_b 5.0325
_cell_length_c 16.1234
_cell_angle_alpha 90.00
_cell_angle_beta 90.00
_cell_angle_gamma 90.00
loop_
_atom_site_label
_atom_site_fract_x
_atom_site_fract_y
_atom_site_fract_z
_atom_site_occupancy
Ce1 0.0000 0.0000 0.1160 1
Tm1 0.0000 0.0000 0.5000 1
Te1 0.0000 0.0000 0.3155 1
S1 0.0000 0.5000 0.0000 1
```

Most intense lines, 2θ from 15° to 90°, most intense first:
d = 2.715 Å, 2θ 32.99, intensity 100
d = 3.558 Å, 2θ 25.02, intensity 100
d = 1.846 Å, 2θ 49.38, intensity 64
d = 2.516 Å, 2θ 35.68, intensity 59
d = 1.779 Å, 2θ 51.35, intensity 21
d = 1.591 Å, 2θ 57.95, intensity 20
d = 1.281 Å, 2θ 74.00, intensity 19
d = 1.488 Å, 2θ 62.40, intensity 16
d = 1.142 Å, 2θ 84.96, intensity 14
d = 1.125 Å, 2θ 86.48, intensity 9

[9]
Structure and theoretical X-ray powder pattern of CeYTeS2 (a cell relaxed with PBE; Cu Kα X-rays).

Atomic structure:
```
data_CeYTeS2
_symmetry_space_group_name_H-M 'I 4 m m'
_symmetry_Int_Tables_number 107
_symmetry_space_group_name_Hall 'I 4 -2'
_cell_length_a 4.5004
_cell_length_b 4.5004
_cell_length_c 13.7448
_cell_angle_alpha 90.00
_cell_angle_beta 90.00
_cell_angle_gamma 90.00
loop_
_atom_site_label
_atom_site_fract_x
_atom_site_fract_y
_atom_site_fract_z
_atom_site_occupancy
Ce1 0.0000 0.0000 0.0000 1
Y1 0.0000 0.0000 0.7189 1
Te1 0.0000 0.0000 0.3643 1
S1 0.0000 0.5000 0.1154 1
```

Most intense lines, 2θ from 15° to 90°, most intense first:
d = 3.211 Å, 2θ 27.79, intensity 100
d = 1.843 Å, 2θ 49.46, intensity 40
d = 3.182 Å, 2θ 28.04, intensity 37
d = 2.250 Å, 2θ 40.07, intensity 30
d = 1.859 Å, 2θ 49.00, intensity 19
d = 2.888 Å, 2θ 30.97, intensity 18
d = 2.346 Å, 2θ 38.37, intensity 16
d = 1.204 Å, 2θ 79.61, intensity 15
d = 1.624 Å, 2θ 56.68, intensity 10
d = 1.591 Å, 2θ 57.96, intensity 10

[10]
Structure and theoretical X-ray powder pattern of Ce2Th3S8 (a cell relaxed with PBE; Cu Kα X-rays).

Atomic structure:
```
data_Ce2Th3S8
_symmetry_space_group_name_H-M 'C 1 2/m 1'
_symmetry_Int_Tables_number 12
_symmetry_space_group_name_Hall '-C 2y'
_cell_length_a 14.3156
_cell_length_b 8.2582
_cell_length_c 6.8294
_cell_angle_alpha 90.00
_cell_angle_beta 109.82
_cell_angle_gamma 90.00
loop_
_atom_site_label
_atom_site_fract_x
_atom_site_fract_y
_atom_site_fract_z
_atom_site_occupancy
Ce1 0.2367 0.0000 0.1596 1
Th1 0.0000 0.2444 0.5000 1
Th2 0.0000 0.5000 0.0000 1
S1 0.1116 0.0000 0.4122 1
S2 0.1177 0.5000 0.4274 1
S3 0.1254 0.2702 0.9172 1
```

Most intense lines, 2θ from 15° to 90°, most intense first:
d = 2.675 Å, 2θ 33.50, intensity 100
d = 3.347 Å, 2θ 26.63, intensity 87
d = 4.375 Å, 2θ 20.30, intensity 85
d = 3.372 Å, 2θ 26.43, intensity 76
d = 2.223 Å, 2θ 40.59, intensity 74
d = 3.474 Å, 2θ 25.65, intensity 69
d = 3.922 Å, 2θ 22.67, intensity 67
d = 1.993 Å, 2θ 45.51, intensity 65
d = 2.065 Å, 2θ 43.84, intensity 52
d = 3.520 Å, 2θ 25.30, intensity 52

[11]
Structure and theoretical X-ray powder pattern of Ce4ThS6 (a cell relaxed with PBE; Cu Kα X-rays).

Atomic structure:
```
data_Ce4ThS6
_symmetry_space_group_name_H-M 'C m c m'
_symmetry_Int_Tables_number 63
_symmetry_space_group_name_Hall '-C 2c 2'
_cell_length_a 3.9570
_cell_length_b 13.2773
_cell_length_c 19.9951
_cell_angle_alpha 90.00
_cell_angle_beta 90.00
_cell_angle_gamma 90.00
loop_
_atom_site_label
_atom_site_fract_x
_atom_site_fract_y
_atom_site_fract_z
_atom_site_occupancy
Ce1 0.0000 0.0878 0.1272 1
Ce2 0.0000 0.3610 0.0399 1
Th1 0.0000 0.1571 0.7500 1
S1 0.0000 0.0000 0.0000 1
S2 0.0000 0.1927 0.2500 1
S3 0.0000 0.2687 0.5938 1
S4 0.0000 0.4473 0.1701 1
```

Most intense lines, 2θ from 15° to 90°, most intense first:
d = 3.426 Å, 2θ 26.01, intensity 100
d = 2.829 Å, 2θ 31.62, intensity 95
d = 3.296 Å, 2θ 27.05, intensity 56
d = 2.697 Å, 2θ 33.21, intensity 48
d = 2.087 Å, 2θ 43.36, intensity 39
d = 1.713 Å, 2θ 53.49, intensity 38
d = 3.546 Å, 2θ 25.12, intensity 33
d = 1.978 Å, 2θ 45.87, intensity 29
d = 2.023 Å, 2θ 44.79, intensity 28
d = 3.319 Å, 2θ 26.86, intensity 28

[12]
Structure and theoretical X-ray powder pattern of Ce2TmThS5 (a cell relaxed with PBE; Cu Kα X-rays).

Atomic structure:
```
data_Ce2TmThS5
_symmetry_space_group_name_H-M 'P 4/m m m'
_symmetry_Int_Tables_number 123
_symmetry_space_group_name_Hall '-P 4 2'
_cell_length_a 4.8229
_cell_length_b 4.8229
_cell_length_c 10.4376
_cell_angle_alpha 90.00
_cell_angle_beta 90.00
_cell_angle_gamma 90.00
loop_
_atom_site_label
_atom_site_fract_x
_atom_site_fract_y
_atom_site_fract_z
_atom_site_occupancy
Ce1 0.0000 0.0000 0.1979 1
Tm1 0.5000 0.5000 0.0000 1
Th1 0.5000 0.5000 0.5000 1
S1 0.0000 0.0000 0.5000 1
S2 0.0000 0.5000 0.0000 1
S3 0.5000 0.5000 0.2503 1
```

Most intense lines, 2θ from 15° to 90°, most intense first:
d = 3.542 Å, 2θ 25.14, intensity 100
d = 3.410 Å, 2θ 26.13, intensity 88
d = 2.411 Å, 2θ 37.29, intensity 49
d = 1.993 Å, 2θ 45.50, intensity 43
d = 2.072 Å, 2θ 43.68, intensity 22
d = 2.435 Å, 2θ 36.91, intensity 21
d = 1.771 Å, 2θ 51.61, intensity 21
d = 2.609 Å, 2θ 34.37, intensity 17
d = 1.525 Å, 2θ 60.73, intensity 17
d = 1.705 Å, 2θ 53.76, intensity 17

[13]
Structure and theoretical X-ray powder pattern of Ce3TiTl3S8 (a cell relaxed with PBE; Cu Kα X-rays).

Atomic structure:
```
data_Ce3TiTl3S8
_symmetry_space_group_name_H-M 'R -3 m'
_symmetry_Int_Tables_number 166
_symmetry_space_group_name_Hall '-R 3 2"'
_cell_length_a 8.0204
_cell_length_b 8.0204
_cell_length_c 22.7393
_cell_angle_alpha 90.00
_cell_angle_beta 90.00
_cell_angle_gamma 120.00
loop_
_atom_site_label
_atom_site_fract_x
_atom_site_fract_y
_atom_site_fract_z
_atom_site_occupancy
Ce1 0.0000 0.5000 0.0000 1
Ti1 0.0000 0.0000 0.0000 1
Tl1 0.0000 0.5000 0.5000 1
S1 0.0000 0.0000 0.2647 1
S2 0.0298 0.5149 0.7291 1
```

Most intense lines, 2θ from 15° to 90°, most intense first:
d = 2.964 Å, 2θ 30.16, intensity 100
d = 3.321 Å, 2θ 26.84, intensity 51
d = 2.200 Å, 2θ 41.03, intensity 37
d = 2.005 Å, 2θ 45.22, intensity 33
d = 3.790 Å, 2θ 23.47, intensity 28
d = 1.772 Å, 2θ 51.57, intensity 21
d = 1.902 Å, 2θ 47.82, intensity 19
d = 1.661 Å, 2θ 55.32, intensity 17
d = 1.377 Å, 2θ 68.08, intensity 14
d = 1.279 Å, 2θ 74.14, intensity 14